1.
Structure and theoretical X-ray diffraction stick pattern of Ca8Mn3N8 (a crystal structure in the Materials Project, relaxed with GGA-PBE; copper Kα).

```
data_Ca8Mn3N8
_cell_length_a 17.813
_cell_length_b 5.001
_cell_length_c 7.150
_cell_angle_alpha 90.00
_cell_angle_beta 105.97
_cell_angle_gamma 90.00
_symmetry_space_group_name_H-M 'C 1 2/m 1'
_symmetry_Int_Tables_number 12
loop_
_symmetry_equiv_pos_as_xyz
'x,y,z'
'-x,-y,-z'
'-x,y,-z'
'x,-y,z'
'x+1/2,y+1/2,z'
'-x+1/2,-y+1/2,-z'
'-x+1/2,y+1/2,-z'
'x+1/2,-y+1/2,z'
loop_
_atom_site_label
_atom_site_type_symbol
_atom_site_fract_x
_atom_site_fract_y
_atom_site_fract_z
_atom_site_occupancy
Ca1 Ca 0.028 0.000 0.260 1
Ca2 Ca 0.098 0.500 0.958 1
Ca3 Ca 0.167 0.500 0.473 1
Ca4 Ca 0.199 0.000 0.805 1
Mn1 Mn 0.000 0.500 0.500 1
Mn2 Mn 0.187 0.000 0.205 1
N1 N 0.026 0.500 0.284 1
N2 N 0.102 0.000 0.003 1
N3 N 0.176 0.000 0.439 1
N4 N 0.219 0.500 0.829 1
```

Principal peaks in the range 2θ from 10° to 90°, sorted by position:
2θ = 21.7°, d 4.086, I = 35.1, (1 1 -1); 2θ = 23.7°, d 3.762, I = 15.7, (3 1 0); 2θ = 30.8°, d 2.903, I = 25.4, (1 1 -2); 2θ = 31.4°, d 2.852, I = 53.4, (6 0 0); 2θ = 31.7°, d 2.826, I = 23.8, (5 1 0); 2θ = 33.2°, d 2.698, I = 58.3, (1 1 2); 2θ = 35.9°, d 2.500, I = 100.0, (0 2 0); 2θ = 36.3°, d 2.476, I = 27.8, (5 1 -2); 2θ = 37.3°, d 2.411, I = 24.1, (6 0 1); 2θ = 43.3°, d 2.091, I = 21.8, (6 0 -3); 2θ = 52.7°, d 1.736, I = 15.6, (6 2 1); 2θ = 57.5°, d 1.604, I = 17.3, (6 2 -3)

2.
Structure and theoretical X-ray diffraction stick pattern of LiMg3 (a crystal structure in the Materials Project, relaxed with GGA-PBE; copper Kα).

```
data_LiMg3
_cell_length_a 4.546
_cell_length_b 4.546
_cell_length_c 8.484
_cell_angle_alpha 90.00
_cell_angle_beta 90.00
_cell_angle_gamma 90.00
_symmetry_space_group_name_H-M 'I 4/m m m'
_symmetry_Int_Tables_number 139
_symmetry_space_group_name_Hall '-I 4 2'
loop_
_atom_site_label
_atom_site_type_symbol
_atom_site_fract_x
_atom_site_fract_y
_atom_site_fract_z
_atom_site_occupancy
Li1 Li 0.000 0.000 0.000 1
Mg1 Mg 0.000 0.000 0.500 1
Mg2 Mg 0.000 0.500 0.250 1
```

Principal peaks in the range 2θ from 10° to 90°, sorted by position:
2θ = 20.9°, d 4.242, I = 6.0, (0 0 2); 2θ = 22.2°, d 4.007, I = 20.9, (1 0 1); 2θ = 27.8°, d 3.215, I = 5.9, (1 1 0); 2θ = 35.0°, d 2.562, I = 100.0, (1 1 2); 2θ = 39.6°, d 2.273, I = 35.1, (2 0 0); 2θ = 42.6°, d 2.121, I = 14.2, (0 0 4); 2θ = 45.9°, d 1.977, I = 5.7, (2 1 1); 2θ = 57.3°, d 1.607, I = 11.4, (2 2 0); 2θ = 59.6°, d 1.551, I = 20.1, (2 0 4); 2θ = 69.0°, d 1.362, I = 25.2, (3 1 2); 2θ = 73.1°, d 1.294, I = 10.5, (1 1 6); 2θ = 74.0°, d 1.281, I = 10.1, (2 2 4)